For DyY14Tl, a DFT-relaxed cell (GGA-PBE, Alexandria) gives the computed powder XRD pattern in this record (λ = 1.5418 Å (Cu Kα)).
Intensities are scaled so that the largest is 100.

Top 6 peaks for 10° ≤ 2θ ≤ 80°, sorted by position:
hkl 2 1 3, 2θ = 31.18°, 2.869 Å, rel. 13.6
hkl 2 2 2, 2θ = 31.30°, 2.858 Å, rel. 100.0
hkl 0 0 4, 2θ = 32.44°, 2.760 Å, rel. 16.1
hkl 4 0 0, 2θ = 32.86°, 2.725 Å, rel. 31.7
hkl 1 0 4, 2θ = 33.49°, 2.675 Å, rel. 9.9
hkl 6 2 2, 2θ = 57.70°, 1.598 Å, rel. 16.0

```
data_DyY14Tl
_chemical_formula_sum 'Dy2 Y28 Tl2'
_cell_length_a 10.8984
_cell_length_b 8.4576
_cell_length_c 11.0393
_cell_angle_alpha 90.00
_cell_angle_beta 90.00
_cell_angle_gamma 90.00
_space_group_name_H-M_alt 'A m m 2'
_space_group_IT_number 38
_space_group_name_Hall 'A 2 -2'
loop_
_atom_site_label
_atom_site_type_symbol
_atom_site_fract_x
_atom_site_fract_y
_atom_site_fract_z
Dy1 Dy 0.0000 0.0000 0.0000
Y1 Y 0.0000 0.2057 0.2698
Y2 Y 0.2219 0.0000 0.7687
Y3 Y 0.2415 0.2078 0.4863
Y4 Y 0.2742 0.0000 0.2049
Y5 Y 0.5000 0.0000 0.4272
Y6 Y 0.5000 0.0000 0.9777
Y7 Y 0.5000 0.2006 0.7072
Tl1 Tl 0.0000 0.0000 0.5538
```